For KFe11O17, the PBE+U geometry in Alexandria gives the theoretical X-ray powder pattern in this record (copper Kα).
Kinematic intensities with the Lorentz-polarization factor, no thermal factor.

Most intense lines, 5° ≤ 2θ ≤ 70°, in order of rising 2θ:
7.4 deg, I = 100.0, hkl 0 0 2; 14.9 deg, I = 19.4, hkl 0 0 4; 19.0 deg, I = 12.5, hkl 0 2 2; 30.5 deg, I = 12.0, hkl 2 0 0; 31.6 deg, I = 37.3, hkl 1 1 -7; 34.1 deg, I = 21.6, hkl 2 0 -4; 37.2 deg, I = 10.4, hkl 2 2 3; 38.2 deg, I = 16.1, hkl 2 0 6; 62.5 deg, I = 12.8, hkl 2 2 13; 63.6 deg, I = 12.3, hkl 2 6 0

Cell and atoms:
```
data_KFe11O17
_symmetry_space_group_name_H-M 'C 1 2 1'
_symmetry_Int_Tables_number 5
_symmetry_space_group_name_Hall 'C 2y'
_cell_length_a 5.871
_cell_length_b 10.131
_cell_length_c 23.839
_cell_angle_alpha 90.00
_cell_angle_beta 90.03
_cell_angle_gamma 90.00
loop_
_atom_site_label
_atom_site_fract_x
_atom_site_fract_y
_atom_site_fract_z
K1 0.000 0.000 0.000
K2 0.000 0.339 0.500
Fe1 0.000 0.334 0.223
Fe2 0.000 0.335 0.077
Fe3 0.000 0.835 0.148
Fe4 0.001 0.002 0.274
Fe5 0.002 0.669 0.249
Fe6 0.003 0.502 0.650
Fe7 0.007 0.999 0.577
Fe8 0.239 0.249 0.353
Fe9 0.245 0.752 0.351
Fe10 0.250 0.085 0.148
Fe11 0.250 0.085 0.852
O1 0.000 0.002 0.194
O2 0.000 0.160 0.107
O3 0.000 0.336 0.000
O4 0.000 0.516 0.199
O5 0.000 0.668 0.109
O6 0.000 0.985 0.500
O7 0.001 0.334 0.696
O8 0.005 0.669 0.611
O9 0.008 0.822 0.297
O10 0.020 0.173 0.605
O11 0.227 0.592 0.701
O12 0.228 0.591 0.300
O13 0.228 0.745 0.801
O14 0.229 0.744 0.198
O15 0.231 0.415 0.393
O16 0.238 0.922 0.107
O17 0.238 0.922 0.893
O18 0.244 0.416 0.610
```

For K6FeO4, the PBE+U geometry in Alexandria gives the theoretical X-ray powder pattern in this record (copper Kα).
Kinematic intensities with the Lorentz-polarization factor, no thermal factor.

Most intense lines, 5° ≤ 2θ ≤ 70°, in order of rising 2θ:
11.2 deg, I = 37.9, hkl 1 0 0; 17.6 deg, I = 14.6, hkl 1 0 1; 26.3 deg, I = 23.9, hkl 2 0 1; 29.5 deg, I = 26.6, hkl 1 0 2; 33.0 deg, I = 100.0, hkl 2 1 1; 35.6 deg, I = 31.5, hkl 2 0 2; 36.8 deg, I = 27.0, hkl 3 0 1; 39.5 deg, I = 31.6, hkl 2 2 0; 58.2 deg, I = 16.5, hkl 3 2 2; 60.2 deg, I = 16.1, hkl 5 0 1

Cell and atoms:
```
data_K6FeO4
_symmetry_space_group_name_H-M 'P 63 m c'
_symmetry_Int_Tables_number 186
_symmetry_space_group_name_Hall 'P 6c -2c'
_cell_length_a 9.1283
_cell_length_b 9.1283
_cell_length_c 6.5464
_cell_angle_alpha 90.00
_cell_angle_beta 90.00
_cell_angle_gamma 120.00
loop_
_atom_site_label
_atom_site_fract_x
_atom_site_fract_y
_atom_site_fract_z
K1 0.0802 0.5401 0.0000
K2 0.1403 0.2805 0.6583
Fe1 0.3333 0.6667 0.4045
O1 0.2183 0.4367 0.2992
O2 0.3333 0.6667 0.7023
```

For K3Fe2O4, the PBE+U geometry in Alexandria gives the theoretical X-ray powder pattern in this record (copper Kα).
Kinematic intensities with the Lorentz-polarization factor, no thermal factor.

Most intense lines, 5° ≤ 2θ ≤ 70°, in order of rising 2θ:
14.9 deg, I = 42.6, hkl 2 0 0; 19.9 deg, I = 17.1, hkl 1 1 1; 28.5 deg, I = 69.2, hkl 3 1 -1; 29.8 deg, I = 100.0, hkl 2 2 1; 30.5 deg, I = 27.9, hkl 0 0 2; 32.8 deg, I = 30.8, hkl 1 1 -2; 34.7 deg, I = 16.0, hkl 2 0 2; 39.3 deg, I = 48.2, hkl 5 1 0; 40.8 deg, I = 69.5, hkl 0 4 0; 44.0 deg, I = 24.0, hkl 1 3 -2

Cell and atoms:
```
data_K3Fe2O4
_symmetry_space_group_name_H-M 'C 1 2/c 1'
_symmetry_Int_Tables_number 15
_symmetry_space_group_name_Hall '-C 2yc'
_cell_length_a 11.891
_cell_length_b 8.853
_cell_length_c 5.862
_cell_angle_alpha 90.00
_cell_angle_beta 92.46
_cell_angle_gamma 90.00
loop_
_atom_site_label
_atom_site_fract_x
_atom_site_fract_y
_atom_site_fract_z
K1 0.000 0.098 0.250
K2 0.111 0.357 0.540
Fe1 0.212 0.117 0.927
O1 0.131 0.307 0.018
O2 0.177 0.061 0.608
```

For K6Fe2O5, the PBE+U geometry in Alexandria gives the theoretical X-ray powder pattern in this record (copper Kα).
Kinematic intensities with the Lorentz-polarization factor, no thermal factor.

Most intense lines, 5° ≤ 2θ ≤ 70°, in order of rising 2θ:
19.7 deg, I = 68.0, hkl 1 1 -1; 30.0 deg, I = 90.4, hkl 2 2 0; 30.1 deg, I = 41.9, hkl 1 1 -2; 30.5 deg, I = 100.0, hkl 0 2 2; 30.7 deg, I = 54.8, hkl 0 4 0; 33.0 deg, I = 29.6, hkl 2 2 1; 36.7 deg, I = 34.4, hkl 2 0 -2; 37.4 deg, I = 40.2, hkl 2 0 2; 37.7 deg, I = 34.0, hkl 1 3 2; 49.1 deg, I = 32.8, hkl 1 5 -2

Cell and atoms:
```
data_K6Fe2O5
_symmetry_space_group_name_H-M 'C 1 m 1'
_symmetry_Int_Tables_number 8
_symmetry_space_group_name_Hall 'C -2y'
_cell_length_a 6.942
_cell_length_b 11.663
_cell_length_c 6.783
_cell_angle_alpha 90.00
_cell_angle_beta 91.05
_cell_angle_gamma 90.00
loop_
_atom_site_label
_atom_site_fract_x
_atom_site_fract_y
_atom_site_fract_z
K1 0.000 0.000 0.000
K2 0.149 0.260 0.317
K3 0.152 0.286 0.823
K4 0.290 0.000 0.642
Fe1 0.360 0.500 0.493
Fe2 0.455 0.000 0.123
O1 0.206 0.500 0.253
O2 0.341 0.140 0.046
O3 0.455 0.360 0.600
```